[1]
Diffraction record for MnBiO3. The X-ray powder pattern is calculated, not measured: it uses a structure optimized by DFT (GGA+U) and Cu Kα X-rays.
No peak broadening, texture or thermal motion is included.

Peak list (6 most intense, 2θ from 10° to 90°, low angle first)
- hkl 1 1 1, 22.27 deg, d 3.991, I 65
- hkl 1 1 -3, 31.08 deg, d 2.877, I 100
- hkl 0 2 0, 31.39 deg, d 2.850, I 43
- hkl 3 1 -1, 31.81 deg, d 2.813, I 90
- hkl 2 0 2, 32.02 deg, d 2.795, I 44
- hkl 2 2 2, 45.45 deg, d 1.996, I 44

Structural model:
Cell: 9.7088 5.7002 9.9998 Å, 90.00 110.85 90.00°
Space group C2 (No. 5)
Unique sites:
Mn1 0.0000 0.0000 0.0000 [2 per cell]
Mn2 0.0000 0.4259 0.5000 [2 per cell]
Mn3 0.2495 0.4629 0.2500 [4 per cell]
Bi1 0.1372 0.4300 0.8736 [4 per cell]
Bi2 0.1368 0.9945 0.3736 [4 per cell]
O1 0.0954 0.3873 0.3288 [4 per cell]
O2 0.0967 0.0378 0.8293 [4 per cell]
O3 0.1461 0.7799 0.1223 [4 per cell]
O4 0.1468 0.6467 0.6209 [4 per cell]
O5 0.1490 0.2565 0.0843 [4 per cell]
O6 0.1497 0.1698 0.5845 [4 per cell]



[2]
Diffraction record for MnBiO3. The X-ray powder pattern is calculated, not measured: it uses a structure optimized by DFT (GGA+U) and Cu Kα X-rays.
No peak broadening, texture or thermal motion is included.

Peak list (6 most intense, 2θ from 10° to 90°, low angle first)
- hkl 2 0 0, 19.40 deg, d 4.576, I 29
- hkl 1 1 1, 23.03 deg, d 3.862, I 27
- hkl 2 1 -3, 29.81 deg, d 2.998, I 100
- hkl 2 1 1, 30.17 deg, d 2.962, I 62
- hkl 0 2 0, 32.64 deg, d 2.743, I 37
- hkl 3 0 2, 42.09 deg, d 2.147, I 24

Structural model:
Cell: 10.5001 5.4869 11.0474 Å, 90.00 119.35 90.00°
Space group P2_1/c (No. 14)
Unique sites:
Mn1 0.0000 0.0000 0.0000 [2 per cell]
Mn2 0.1978 0.0314 0.7796 [4 per cell]
Mn3 0.5000 0.0000 0.0000 [2 per cell]
Bi1 0.1996 0.0214 0.4755 [4 per cell]
Bi2 0.3502 0.5006 0.7352 [4 per cell]
O1 0.1196 0.1656 0.1833 [4 per cell]
O2 0.1221 0.6660 0.1151 [4 per cell]
O3 0.1525 0.0785 0.9532 [4 per cell]
O4 0.3382 0.7175 0.3952 [4 per cell]
O5 0.3701 0.2362 0.4071 [4 per cell]
O6 0.3917 0.0954 0.6740 [4 per cell]